Simulated XRD peak list of Ti5Be2Si for Cu Kα (λ = 1.5418 Å), from a GGA-PBE-relaxed structure.
Kinematic intensities with the Lorentz-polarization factor, no thermal factor.

Principal peaks in the range 2θ from 10° to 80°, sorted by position:
(2 1 1), 2θ = 31.73°, I = 54; (1 1 4), 2θ = 38.02°, I = 33; (2 1 3), 2θ = 39.43°, I = 100; (2 0 4), 2θ = 42.95°, I = 44; (3 1 0), 2θ = 43.89°, I = 56; (3 3 4), 2θ = 70.08°, I = 20

Cell lengths 6.5229, 6.5229, 11.0289 Å; angles 90.00, 90.00, 90.00 degrees
Space group I4/mcm (No. 140)
Unique sites:
Ti (0.0000, 0.0000, 0.0000) (multiplicity 4)
Ti (0.1655, 0.3345, 0.1483) (multiplicity 16)
Be (0.1221, 0.3779, 0.5000) (multiplicity 8)
Si (0.0000, 0.0000, 0.2500) (multiplicity 4)